# 1
Simulated PXRD pattern
Compound: H2W2O7
Radiation: Cu Kα (λ = 1.5418 Å)
Structure: a crystal structure in Alexandria, relaxed with GGA+U

Main lines, sorted by position (2θ from 10° to 90°):
index, 2θ/deg, I (rel.)
1 0 1, 14.73, 100
2 1 1, 28.36, 44
1 0 3, 28.55, 21
2 0 2, 29.72, 64
2 2 4, 49.59, 19
4 2 2, 58.68, 19

Cell and atoms:
```
data_H2W2O7
_chemical_formula_sum 'H8 W8 O28'
_cell_length_a 7.386
_cell_length_b 7.386
_cell_length_c 10.354
_cell_angle_alpha 90.00
_cell_angle_beta 90.00
_cell_angle_gamma 90.00
_space_group_name_H-M_alt 'I 41/a m d'
_space_group_IT_number 141
loop_
_space_group_symop_operation_xyz
'x,y,z'
'-x,-y,-z'
'-y+1/4,x+3/4,z+1/4'
'y+1/4,-x+3/4,-z+1/4'
'-x+1/2,-y,z+1/2'
'x+1/2,y,-z+1/2'
'y+1/4,-x+1/4,z+3/4'
'-y+1/4,x+1/4,-z+3/4'
'x,-y,-z'
'-x,y,z'
'-y+1/4,-x+1/4,-z+3/4'
'y+1/4,x+1/4,z+3/4'
'-x+1/2,y,-z+1/2'
'x+1/2,-y,z+1/2'
'y+1/4,x+3/4,-z+1/4'
'-y+1/4,-x+3/4,z+1/4'
'x+1/2,y+1/2,z+1/2'
'-x+1/2,-y+1/2,-z+1/2'
'-y+3/4,x+1/4,z+3/4'
'y+3/4,-x+1/4,-z+3/4'
'-x,-y+1/2,z'
'x,y+1/2,-z'
'y+3/4,-x+3/4,z+1/4'
'-y+3/4,x+3/4,-z+1/4'
'x+1/2,-y+1/2,-z+1/2'
'-x+1/2,y+1/2,z+1/2'
'-y+3/4,-x+3/4,-z+1/4'
'y+3/4,x+3/4,z+1/4'
'-x,y+1/2,-z'
'x,-y+1/2,z'
'y+3/4,x+1/4,-z+3/4'
'-y+3/4,-x+1/4,z+3/4'
loop_
_atom_site_label
_atom_site_type_symbol
_atom_site_fract_x
_atom_site_fract_y
_atom_site_fract_z
H1 H 0.000 0.250 0.283
W1 W 0.000 0.000 0.000
O1 O 0.000 0.250 0.062
O2 O 0.000 0.250 0.375
O3 O 0.181 0.069 0.875
```


# 2
Simulated PXRD pattern
Compound: H2W2O7
Radiation: Cu Kα (λ = 1.5418 Å)
Structure: a crystal structure in Alexandria, relaxed with GGA+U

Main lines, sorted by position (2θ from 10° to 90°):
index, 2θ/deg, I (rel.)
1 1 1, 14.72, 100
1 3 1, 28.40, 64
2 2 2, 29.70, 64
3 3 3, 45.21, 21
4 0 4, 49.48, 29
2 2 6, 58.77, 28

Cell and atoms:
```
data_H2W2O7
_chemical_formula_sum 'H16 W16 O56'
_cell_length_a 10.412
_cell_length_b 10.427
_cell_length_c 10.425
_cell_angle_alpha 90.00
_cell_angle_beta 90.00
_cell_angle_gamma 90.00
_space_group_name_H-M_alt 'F d d 2'
_space_group_IT_number 43
_space_group_name_Hall 'F 2 -2d'
loop_
_atom_site_label
_atom_site_type_symbol
_atom_site_fract_x
_atom_site_fract_y
_atom_site_fract_z
H1 H 0.054 0.450 0.000
W1 W 0.123 0.372 0.432
O1 O 0.000 0.000 0.243
O2 O 0.000 0.000 0.557
O3 O 0.000 0.000 0.877
O4 O 0.001 0.183 0.060
O5 O 0.067 0.249 0.309
```


# 3
Simulated PXRD pattern
Compound: HW2O6
Radiation: Cu Kα (λ = 1.5418 Å)
Structure: a crystal structure in Alexandria, relaxed with GGA+U

Main lines, sorted by position (2θ from 10° to 90°):
index, 2θ/deg, I (rel.)
1 0 1, 22.93, 100
0 2 0, 23.04, 50
0 0 2, 32.70, 85
0 2 2, 40.34, 21
3 0 1, 52.80, 41
1 2 3, 58.32, 23

Cell and atoms:
```
data_HW2O6
_chemical_formula_sum 'H2 W4 O12'
_cell_length_a 5.482
_cell_length_b 7.721
_cell_length_c 5.488
_cell_angle_alpha 90.00
_cell_angle_beta 90.00
_cell_angle_gamma 90.00
_space_group_name_H-M_alt 'I m m 2'
_space_group_IT_number 44
loop_
_space_group_symop_operation_xyz
'x,y,z'
'-x,-y,z'
'-x,y,z'
'x,-y,z'
'x+1/2,y+1/2,z+1/2'
'-x+1/2,-y+1/2,z+1/2'
'-x+1/2,y+1/2,z+1/2'
'x+1/2,-y+1/2,z+1/2'
loop_
_atom_site_label
_atom_site_type_symbol
_atom_site_fract_x
_atom_site_fract_y
_atom_site_fract_z
H1 H 0.000 0.000 0.000
W1 W 0.000 0.250 0.513
O1 O 0.000 0.000 0.491
O2 O 0.000 0.500 0.494
O3 O 0.249 0.251 0.244
```


# 4
Simulated PXRD pattern
Compound: HW4O12
Radiation: Cu Kα (λ = 1.5418 Å)
Structure: a crystal structure in Alexandria, relaxed with GGA+U

Main lines, sorted by position (2θ from 10° to 90°):
index, 2θ/deg, I (rel.)
0 0 2, 22.90, 50
2 0 0, 23.01, 100
2 2 0, 32.72, 82
2 2 2, 40.36, 20
4 2 0, 52.95, 39
4 2 2, 58.45, 21

Cell and atoms:
```
data_HW4O12
_chemical_formula_sum 'H2 W8 O24'
_cell_length_a 7.730
_cell_length_b 7.730
_cell_length_c 7.766
_cell_angle_alpha 90.00
_cell_angle_beta 90.00
_cell_angle_gamma 90.00
_space_group_name_H-M_alt 'I -4 2 m'
_space_group_IT_number 121
_space_group_name_Hall 'I -4 2'
loop_
_atom_site_label
_atom_site_type_symbol
_atom_site_fract_x
_atom_site_fract_y
_atom_site_fract_z
H1 H 0.000 0.000 0.000
W1 W 0.241 0.241 0.264
O1 O 0.002 0.250 0.750
O2 O 0.249 0.249 0.503
```


Please write out number 3 again, unchanged.
Simulated PXRD pattern
Compound: HW2O6
Radiation: Cu Kα (λ = 1.5418 Å)
Structure: a crystal structure in Alexandria, relaxed with GGA+U

Main lines, sorted by position (2θ from 10° to 90°):
index, 2θ/deg, I (rel.)
1 0 1, 22.93, 100
0 2 0, 23.04, 50
0 0 2, 32.70, 85
0 2 2, 40.34, 21
3 0 1, 52.80, 41
1 2 3, 58.32, 23

Cell and atoms:
```
data_HW2O6
_chemical_formula_sum 'H2 W4 O12'
_cell_length_a 5.482
_cell_length_b 7.721
_cell_length_c 5.488
_cell_angle_alpha 90.00
_cell_angle_beta 90.00
_cell_angle_gamma 90.00
_space_group_name_H-M_alt 'I m m 2'
_space_group_IT_number 44
loop_
_space_group_symop_operation_xyz
'x,y,z'
'-x,-y,z'
'-x,y,z'
'x,-y,z'
'x+1/2,y+1/2,z+1/2'
'-x+1/2,-y+1/2,z+1/2'
'-x+1/2,y+1/2,z+1/2'
'x+1/2,-y+1/2,z+1/2'
loop_
_atom_site_label
_atom_site_type_symbol
_atom_site_fract_x
_atom_site_fract_y
_atom_site_fract_z
H1 H 0.000 0.000 0.000
W1 W 0.000 0.250 0.513
O1 O 0.000 0.000 0.491
O2 O 0.000 0.500 0.494
O3 O 0.249 0.251 0.244
```